# Pm2Pr3Hg6
Computed powder X-ray diffraction pattern, CuKα. Input: a GGA-PBE-relaxed structure.

```
data_Pm2Pr3Hg6
_chemical_formula_sum 'Pm4 Pr6 Hg12'
_space_group_name_H-M_alt 'I 4/m m m'
_space_group_IT_number 139
_space_group_name_Hall '-I 4 2'
_cell_length_a 5.194
_cell_length_b 5.194
_cell_length_c 27.727
_cell_angle_alpha 90.00
_cell_angle_beta 90.00
_cell_angle_gamma 90.00
loop_
_atom_site_label
_atom_site_fract_x
_atom_site_fract_y
_atom_site_fract_z
Pm1 0.000 0.000 0.129
Pr1 0.000 0.000 0.359
Pr2 0.000 0.000 0.500
Hg1 0.000 0.000 0.243
Hg2 0.000 0.500 0.067
```

Peak list (10 most intense, 2θ = 15–90°, by angle)
- 2θ 19.2, 4.621 Å, I = 17.0
- 2θ 25.1, 3.550 Å, I = 56.6
- 2θ 31.1, 2.875 Å, I = 17.0
- 2θ 34.5, 2.597 Å, I = 63.2
- 2θ 35.6, 2.521 Å, I = 100.0
- 2θ 39.8, 2.264 Å, I = 13.8
- 2θ 49.6, 1.836 Å, I = 22.9
- 2θ 56.4, 1.631 Å, I = 12.8
- 2θ 62.6, 1.484 Å, I = 39.5
- 2θ 64.7, 1.441 Å, I = 11.4